1.
Diffraction record for HfCrAgS4. The powder X-ray diffraction pattern is theoretical, not measured: it uses a crystal structure in Alexandria, relaxed with PBE and Cu Kα (weighted mean of Kα1 and Kα2).
Neutral-atom scattering factors, no anomalous dispersion.

Structure:
```
HfCrAgS4
1.0
6.1471 0.0000 0.0000
0.0000 7.1192 0.0000
-0.6026 0.0000 6.5778
Hf Cr Ag S
2 2 2 8
direct
0.0000 0.0000 0.0000
0.5000 0.2776 0.0000
0.0000 0.5105 0.0000
0.5000 0.7688 0.0000
0.0000 0.4892 0.5000
0.0000 0.9325 0.5000
0.1805 0.2684 0.2196
0.1979 0.7484 0.2118
0.3053 0.5295 0.7928
0.3218 0.0088 0.7821
0.6782 0.0088 0.2179
0.6947 0.5295 0.2072
0.8021 0.7484 0.7882
0.8195 0.2684 0.7804
```

Peak list (6 most intense, 10° ≤ 2θ ≤ 80°, in order of rising 2θ)
2θ 13.46, I = 97.2
2θ 29.02, I = 100.0
2θ 32.69, I = 69.3
2θ 38.30, I = 71.3
2θ 39.16, I = 59.6
2θ 41.08, I = 91.6

***

2.
Diffraction record for HfCrAgS4. The powder X-ray diffraction pattern is theoretical, not measured: it uses a crystal structure in Alexandria, relaxed with PBE and Cu Kα (weighted mean of Kα1 and Kα2).
Neutral-atom scattering factors, no anomalous dispersion.

Structure:
```
HfCrAgS4
1.0
6.1109 0.0000 0.0000
0.0000 3.5955 0.0000
-0.1554 0.0000 6.5415
Hf Cr Ag S
1 1 1 4
direct
0.0000 0.0000 0.0000
0.5000 0.5000 0.0000
0.5000 0.5000 0.5000
0.1793 0.5000 0.2197
0.3420 0.0000 0.7884
0.6580 0.0000 0.2116
0.8207 0.5000 0.7803
```

Peak list (6 most intense, 10° ≤ 2θ ≤ 80°, in order of rising 2θ)
2θ 13.54, I = 70.6
2θ 19.65, I = 74.5
2θ 20.12, I = 64.3
2θ 28.81, I = 81.7
2θ 39.86, I = 100.0
2θ 40.34, I = 85.3

***

3.
Diffraction record for HfCrAgS4. The powder X-ray diffraction pattern is theoretical, not measured: it uses a crystal structure in Alexandria, relaxed with PBE and Cu Kα (weighted mean of Kα1 and Kα2).
Neutral-atom scattering factors, no anomalous dispersion.

Structure:
```
HfCrAgS4
1.0
3.6072 0.0000 0.0000
0.0000 11.2734 0.0000
0.0000 0.0000 13.2328
Hf Cr Ag S
4 4 4 16
direct
0.0000 0.1457 0.0000
0.0000 0.6710 0.1918
0.5000 0.3290 0.6918
0.5000 0.8543 0.5000
0.0000 0.2216 0.4811
0.0000 0.6920 0.6915
0.5000 0.3080 0.1915
0.5000 0.7784 0.9811
0.0000 0.0139 0.3159
0.0000 0.5281 0.4169
0.5000 0.4719 0.9169
0.5000 0.9861 0.8159
0.0000 0.1815 0.6591
0.0000 0.2493 0.3001
0.0000 0.3528 0.0729
0.0000 0.4775 0.7520
0.0000 0.6358 0.0061
0.0000 0.7917 0.3713
0.0000 0.8911 0.6281
0.0000 0.9226 0.9661
0.5000 0.0774 0.4661
0.5000 0.1089 0.1281
0.5000 0.2083 0.8713
0.5000 0.3642 0.5061
0.5000 0.5225 0.2520
0.5000 0.6472 0.5729
0.5000 0.7507 0.8001
0.5000 0.8185 0.1591
```

Peak list (6 most intense, 10° ≤ 2θ ≤ 80°, in order of rising 2θ)
2θ 17.10, I = 68.6
2θ 27.29, I = 100.0
2θ 29.29, I = 75.2
2θ 33.05, I = 93.1
2θ 40.28, I = 71.7
2θ 41.22, I = 66.1

***

4.
Diffraction record for HfCrAgS4. The powder X-ray diffraction pattern is theoretical, not measured: it uses a crystal structure in Alexandria, relaxed with PBE and Cu Kα (weighted mean of Kα1 and Kα2).
Neutral-atom scattering factors, no anomalous dispersion.

Structure:
```
HfCrAgS4
1.0
7.0665 -1.8023 0.0000
7.0665 1.8023 0.0000
-2.4388 0.0000 5.5828
Hf Cr Ag S
1 1 1 4
direct
0.0000 0.0000 0.0000
0.4957 0.4957 0.5174
0.7486 0.7486 0.7327
0.1005 0.1005 0.4570
0.3908 0.3908 0.0875
0.6134 0.6134 0.9443
0.8882 0.8882 0.5588
```

Peak list (6 most intense, 10° ≤ 2θ ≤ 80°, in order of rising 2θ)
2θ 13.67, I = 68.4
2θ 15.87, I = 53.6
2θ 25.67, I = 58.5
2θ 28.78, I = 83.2
2θ 39.93, I = 100.0
2θ 40.62, I = 82.6

***

5.
Diffraction record for HfCrAgS4. The powder X-ray diffraction pattern is theoretical, not measured: it uses a crystal structure in Alexandria, relaxed with PBE and Cu Kα (weighted mean of Kα1 and Kα2).
Neutral-atom scattering factors, no anomalous dispersion.

Structure:
```
HfCrAgS4
1.0
6.0893 0.0000 0.0000
0.0000 3.6064 0.0000
-0.5702 0.0000 12.9810
Hf Cr Ag S
2 2 2 8
direct
0.0119 0.0000 0.2481
0.9881 0.0000 0.7519
0.4680 0.5000 0.7469
0.5320 0.5000 0.2531
0.0000 0.0000 0.5000
0.5000 0.5000 0.0000
0.1602 0.5000 0.8649
0.2090 0.5000 0.3578
0.3156 0.0000 0.6402
0.3655 0.0000 0.1487
0.6345 0.0000 0.8513
0.6844 0.0000 0.3598
0.7910 0.5000 0.6422
0.8398 0.5000 0.1351
```

Peak list (6 most intense, 10° ≤ 2θ ≤ 80°, in order of rising 2θ)
2θ 13.64, I = 69.6
2θ 28.78, I = 84.5
2θ 32.27, I = 50.7
2θ 39.73, I = 100.0
2θ 40.69, I = 89.8
2θ 51.72, I = 39.7

***

6.
Diffraction record for HfCrAgS4. The powder X-ray diffraction pattern is theoretical, not measured: it uses a crystal structure in Alexandria, relaxed with PBE and Cu Kα (weighted mean of Kα1 and Kα2).
Neutral-atom scattering factors, no anomalous dispersion.

Structure:
```
HfCrAgS4
1.0
11.9710 0.0000 0.0000
0.0000 3.6134 0.0000
-0.1403 0.0000 12.5169
Hf Cr Ag S
4 4 4 16
direct
0.0000 0.0000 0.0000
0.0888 0.0000 0.4947
0.4766 0.5000 0.8635
0.7083 0.0000 0.5832
0.2143 0.5000 0.2722
0.3691 0.0000 0.0844
0.5879 0.5000 0.3469
0.8706 0.5000 0.7728
0.2014 0.0000 0.7836
0.3845 0.5000 0.5444
0.6928 0.5000 0.0861
0.8763 0.0000 0.2910
0.0258 0.5000 0.3611
0.0541 0.5000 0.8598
0.1736 0.0000 0.1437
0.1782 0.5000 0.6050
0.2622 0.0000 0.3867
0.3088 0.5000 0.9697
0.4076 0.5000 0.2105
0.4099 0.0000 0.7395
0.5284 0.0000 0.4716
0.5523 0.0000 0.9899
0.6669 0.5000 0.7234
0.6692 0.0000 0.2482
0.7561 0.5000 0.4533
0.8242 0.0000 0.8869
0.9084 0.5000 0.1035
0.9159 0.0000 0.6406
```

Peak list (6 most intense, 10° ≤ 2θ ≤ 80°, in order of rising 2θ)
2θ 25.74, I = 60.4
2θ 26.64, I = 85.4
2θ 33.60, I = 57.5
2θ 33.71, I = 100.0
2θ 45.97, I = 75.9
2θ 50.52, I = 65.5

***

7.
Diffraction record for HfCrAgS4. The powder X-ray diffraction pattern is theoretical, not measured: it uses a crystal structure in Alexandria, relaxed with PBE and Cu Kα (weighted mean of Kα1 and Kα2).
Neutral-atom scattering factors, no anomalous dispersion.

Structure:
```
HfCrAgS4
1.0
-3.7068 3.7367 5.1911
3.7068 -3.7367 5.1911
3.7068 3.7367 -5.1911
Hf Cr Ag S
2 2 2 8
direct
0.2500 0.2508 0.0008
0.7500 0.2492 0.4992
0.7498 0.2500 0.9998
0.7502 0.7500 0.5002
0.1361 0.8861 0.2500
0.3639 0.6139 0.7500
0.5131 0.0292 0.0151
0.5141 0.4980 0.4849
0.5309 0.4944 0.0369
0.5425 0.0056 0.5365
0.9575 0.4939 0.4631
0.9691 0.0061 0.9635
0.9859 0.4708 0.9839
0.9869 0.0020 0.5161
```

Peak list (6 most intense, 10° ≤ 2θ ≤ 80°, in order of rising 2θ)
2θ 14.68, I = 46.7
2θ 24.04, I = 66.0
2θ 28.09, I = 100.0
2θ 28.46, I = 69.0
2θ 44.83, I = 34.7
2θ 49.31, I = 70.5

***

8.
Diffraction record for Cr4AgHg. The powder X-ray diffraction pattern is theoretical, not measured: it uses a crystal structure in Alexandria, relaxed with PBE and Cu Kα (weighted mean of Kα1 and Kα2).
Neutral-atom scattering factors, no anomalous dispersion.

Structure:
```
Cr4AgHg
1.0
0.0000 3.4896 3.4896
3.4896 0.0000 3.4896
3.4896 3.4896 0.0000
Cr Ag Hg
4 1 1
direct
0.3794 0.3794 0.3794
0.3794 0.3794 0.8618
0.3794 0.8618 0.3794
0.8618 0.3794 0.3794
0.7500 0.7500 0.7500
0.0000 0.0000 0.0000
```

Peak list (6 most intense, 10° ≤ 2θ ≤ 80°, in order of rising 2θ)
2θ 22.06, I = 24.7
2θ 36.41, I = 71.3
2θ 42.98, I = 100.0
2θ 65.52, I = 25.3
2θ 70.05, I = 30.4
2θ 77.34, I = 20.3